Simulated powder X-ray diffraction pattern
Compound: TbDy2WO8
Radiation: a wavelength of 1.5418 Å
Structure: a DFT-relaxed cell (GGA+U, Alexandria)
Lines closer than 0.1° are merged.

Crystal structure
Cell lengths 7.110, 7.200, 6.840 Å; angles 90.00, 90.00, 90.00 degrees
Space group Cmmm (No. 65)
Unique sites:
Tb: 0.000 0.000 0.000 [2 per cell]
Dy: 0.000 0.500 0.251 [4 per cell]
W: 0.000 0.000 0.500 [2 per cell]
O: 0.000 0.183 0.288 [8 per cell]
O: 0.191 0.500 0.000 [4 per cell]
O: 0.225 0.500 0.500 [4 per cell]

Largest 10 diffraction maxima, by intensity, 2θ from 10° to 90°:
index	2theta	I (rel.)
1 1 2	31.58	100
0 2 0	24.73	57
2 0 0	25.05	53
1 3 2	48.05	40
3 1 2	48.41	37
2 2 0	35.49	30
3 3 2	61.29	22
2 2 4	65.93	11
0 2 4	59.88	10
4 2 0	57.85	10